Starting from a GGA-PBE-relaxed structure, the XRD peak list of Pr2DyH8 was computed for a wavelength of 1.5418 Å.
Intensities are scaled so that the largest is 100.

Peak list (8 most intense, 5 to 70 degrees two-theta, by angle)
2θ = 28.82°, I = 100; 2θ = 33.15°, I = 34; 2θ = 33.88°, I = 16; 2θ = 47.52°, I = 7; 2θ = 47.64°, I = 7; 2θ = 48.13°, I = 26; 2θ = 56.59°, I = 30; 2θ = 57.55°, I = 14

Cell: 6.592 6.592 6.592 Å, 146.25 132.67 59.39°
Element x y z (fractional)
Pr 0.168 0.168 0.000
Pr 0.832 0.832 0.000
Dy 0.500 0.500 0.000
H 0.093 0.346 0.747
H 0.251 0.000 0.251
H 0.334 0.834 0.500
H 0.400 0.654 0.747
H 0.600 0.346 0.253
H 0.666 0.166 0.500
H 0.749 0.000 0.749
H 0.907 0.654 0.253

---

Starting from a GGA-PBE-relaxed structure, the XRD peak list of Pr2DyH12Rh3 was computed for a wavelength of 1.5418 Å.
Intensities are scaled so that the largest is 100.

Peak list (8 most intense, 5 to 70 degrees two-theta, by angle)
2θ = 26.99°, I = 51; 2θ = 31.90°, I = 42; 2θ = 32.95°, I = 100; 2θ = 33.73°, I = 67; 2θ = 34.98°, I = 62; 2θ = 51.59°, I = 28; 2θ = 53.02°, I = 38; 2θ = 55.64°, I = 36

Cell: 6.118 6.118 6.118 Å, 65.37 65.37 65.37°
Element x y z (fractional)
Pr 0.115 0.115 0.115
Pr 0.885 0.885 0.885
Dy 0.500 0.500 0.500
H 0.087 0.633 0.633
H 0.211 0.211 0.622
H 0.211 0.622 0.211
H 0.367 0.367 0.913
H 0.367 0.913 0.367
H 0.378 0.789 0.789
H 0.622 0.211 0.211
H 0.633 0.087 0.633
H 0.633 0.633 0.087
H 0.789 0.378 0.789
H 0.789 0.789 0.378
H 0.913 0.367 0.367
Rh 0.000 0.500 0.500
Rh 0.500 0.000 0.500
Rh 0.500 0.500 0.000

---

Starting from a GGA-PBE-relaxed structure, the XRD peak list of DyH8Pt2 was computed for a wavelength of 1.5418 Å.
Intensities are scaled so that the largest is 100.

Peak list (8 most intense, 5 to 70 degrees two-theta, by angle)
2θ = 24.82°, I = 100; 2θ = 26.64°, I = 64; 2θ = 36.43°, I = 100; 2θ = 36.72°, I = 43; 2θ = 38.93°, I = 52; 2θ = 51.70°, I = 38; 2θ = 53.62°, I = 22; 2θ = 63.75°, I = 25

Cell: 5.460 5.460 3.764 Å, 110.06 110.06 84.35°
Element x y z (fractional)
Dy 0.000 0.000 0.000
H 0.015 0.307 0.661
H 0.307 0.015 0.661
H 0.315 0.685 0.000
H 0.341 0.341 0.338
H 0.659 0.659 0.662
H 0.685 0.315 0.000
H 0.693 0.985 0.339
H 0.985 0.693 0.339
Pt 0.308 0.692 0.500
Pt 0.692 0.308 0.500

---

Starting from a GGA-PBE-relaxed structure, the XRD peak list of DyH3Pt3 was computed for a wavelength of 1.5418 Å.
Intensities are scaled so that the largest is 100.

Peak list (8 most intense, 5 to 70 degrees two-theta, by angle)
2θ = 16.18°, I = 11; 2θ = 32.70°, I = 24; 2θ = 37.99°, I = 100; 2θ = 38.15°, I = 25; 2θ = 51.10°, I = 14; 2θ = 53.84°, I = 8; 2θ = 58.36°, I = 16; 2θ = 68.84°, I = 18

Cell: 6.325 6.325 4.718 Å, 90.00 90.00 120.00°
Element x y z (fractional)
Dy 0.333 0.667 0.250
Dy 0.667 0.333 0.750
H 0.108 0.554 0.750
H 0.446 0.554 0.750
H 0.446 0.892 0.750
H 0.554 0.108 0.250
H 0.554 0.446 0.250
H 0.892 0.446 0.250
Pt 0.146 0.292 0.750
Pt 0.146 0.854 0.750
Pt 0.292 0.146 0.250
Pt 0.708 0.854 0.750
Pt 0.854 0.146 0.250
Pt 0.854 0.708 0.250

---

Starting from a GGA-PBE-relaxed structure, the XRD peak list of DyH6Pt3 was computed for a wavelength of 1.5418 Å.
Intensities are scaled so that the largest is 100.

Peak list (8 most intense, 5 to 70 degrees two-theta, by angle)
2θ = 25.43°, I = 29; 2θ = 25.76°, I = 29; 2θ = 32.80°, I = 77; 2θ = 34.06°, I = 70; 2θ = 38.47°, I = 100; 2θ = 39.50°, I = 44; 2θ = 40.43°, I = 43; 2θ = 45.41°, I = 29

Cell: 4.680 4.931 5.093 Å, 80.53 75.57 66.76°
Element x y z (fractional)
Dy 0.000 0.000 0.000
H 0.057 0.908 0.502
H 0.457 0.388 0.161
H 0.574 0.988 0.825
H 0.588 0.828 0.334
H 0.894 0.412 0.400
H 0.939 0.538 0.907
Pt 0.262 0.151 0.409
Pt 0.363 0.394 0.854
Pt 0.786 0.703 0.619

---

Starting from a GGA-PBE-relaxed structure, the XRD peak list of DyH11Rh5 was computed for a wavelength of 1.5418 Å.
Intensities are scaled so that the largest is 100.

Peak list (8 most intense, 5 to 70 degrees two-theta, by angle)
2θ = 17.20°, I = 17; 2θ = 28.95°, I = 46; 2θ = 34.82°, I = 100; 2θ = 36.22°, I = 86; 2θ = 39.20°, I = 26; 2θ = 42.62°, I = 40; 2θ = 49.87°, I = 20; 2θ = 67.64°, I = 20

Cell: 5.339 5.339 5.380 Å, 103.41 103.41 93.53°
Element x y z (fractional)
Dy 0.000 0.000 0.000
H 0.000 0.000 0.500
H 0.157 0.666 0.646
H 0.183 0.450 0.063
H 0.305 0.305 0.683
H 0.334 0.843 0.354
H 0.450 0.183 0.063
H 0.550 0.817 0.937
H 0.666 0.157 0.646
H 0.695 0.695 0.317
H 0.817 0.550 0.937
H 0.843 0.334 0.354
Rh 0.022 0.628 0.291
Rh 0.372 0.978 0.709
Rh 0.500 0.500 0.000
Rh 0.628 0.022 0.291
Rh 0.978 0.372 0.709

---

Starting from a GGA-PBE-relaxed structure, the XRD peak list of DyH4Rh2 was computed for a wavelength of 1.5418 Å.
Intensities are scaled so that the largest is 100.

Peak list (8 most intense, 5 to 70 degrees two-theta, by angle)
2θ = 30.87°, I = 42; 2θ = 36.37°, I = 100; 2θ = 38.05°, I = 24; 2θ = 54.90°, I = 18; 2θ = 58.49°, I = 15; 2θ = 58.58°, I = 14; 2θ = 64.29°, I = 16; 2θ = 64.37°, I = 7

Cell: 5.797 5.795 5.789 Å, 60.06 60.02 59.92°
Element x y z (fractional)
Dy 0.000 0.000 0.000
Dy 0.250 0.250 0.250
H 0.387 0.423 0.406
H 0.404 0.783 0.425
H 0.423 0.387 0.784
H 0.466 0.844 0.827
H 0.783 0.404 0.388
H 0.825 0.862 0.846
H 0.844 0.466 0.863
H 0.862 0.825 0.467
Rh 0.125 0.625 0.662
Rh 0.588 0.662 0.125
Rh 0.625 0.125 0.588
Rh 0.662 0.588 0.625

---

Starting from a GGA-PBE-relaxed structure, the XRD peak list of DyH2Rh was computed for a wavelength of 1.5418 Å.
Intensities are scaled so that the largest is 100.

Peak list (8 most intense, 5 to 70 degrees two-theta, by angle)
2θ = 27.10°, I = 74; 2θ = 31.96°, I = 84; 2θ = 34.16°, I = 83; 2θ = 36.37°, I = 78; 2θ = 36.90°, I = 80; 2θ = 37.13°, I = 100; 2θ = 47.16°, I = 24; 2θ = 49.19°, I = 50

Cell: 6.196 6.279 4.940 Å, 90.00 90.00 90.00°
Element x y z (fractional)
Dy 0.178 0.128 0.000
Dy 0.322 0.628 0.500
Dy 0.678 0.372 0.000
Dy 0.822 0.872 0.500
H 0.026 0.442 0.806
H 0.165 0.113 0.501
H 0.335 0.613 0.001
H 0.474 0.942 0.306
H 0.526 0.058 0.806
H 0.665 0.387 0.501
H 0.835 0.887 0.001
H 0.974 0.558 0.306
Rh 0.043 0.690 0.994
Rh 0.457 0.190 0.494
Rh 0.543 0.810 0.994
Rh 0.957 0.310 0.494